Entry 1:
Theoretical powder diffractogram
Compound: GdHfCSe
Radiation: Cu Kα
Structure: a structure optimized by DFT (PBE)

Principal peaks in the range 2θ = 5–70°, by angle:
hkl	Position (°2θ)	I_rel
0 0 4	27.19	8
1 0 0	28.86	28
1 0 1	29.67	13
1 0 3	35.54	100
1 0 4	40.06	6
0 0 6	41.29	11
1 1 0	51.14	37
1 0 7	57.49	9
2 0 3	63.83	18
1 1 6	67.74	16

Cell lengths 3.5724, 3.5724, 13.1194 Å; angles 90.00, 90.00, 120.00 degrees
Space group P6_3mc (No. 186)
Inequivalent atoms, fractional coordinates:
Gd1 0.3333 0.6667 0.0000 [2 per cell]
Hf1 0.3333 0.6667 0.3037 [2 per cell]
C1 0.0000 0.0000 0.3857 [2 per cell]
Se1 0.3333 0.6667 0.6619 [2 per cell]

***

Entry 2:
Theoretical powder diffractogram
Compound: GdHoC2I2
Radiation: Cu Kα
Structure: a structure optimized by DFT (PBE)

Principal peaks in the range 2θ = 5–70°, by angle:
hkl	Position (°2θ)	I_rel
0 0 1	7.85	100
0 0 2	15.74	19
1 1 0	25.84	43
2 0 -2	28.29	65
1 1 -2	30.02	35
1 1 2	30.77	85
1 1 3	35.84	25
1 1 -4	40.82	25
3 1 0	43.72	38
2 2 -2	55.31	20

Cell lengths 7.336, 3.908, 11.283 Å; angles 90.00, 93.32, 90.00 degrees
Space group Cm (No. 8)
Inequivalent atoms, fractional coordinates:
Gd1 0.000 0.000 0.000 [2 per cell]
Ho1 0.291 0.000 0.244 [2 per cell]
C1 0.067 0.500 0.153 [2 per cell]
C2 0.222 0.500 0.098 [2 per cell]
I1 0.320 0.000 0.811 [2 per cell]
I2 0.468 0.500 0.430 [2 per cell]

***

Entry 3:
Theoretical powder diffractogram
Compound: Gd3HoC2S2
Radiation: Cu Kα
Structure: a structure optimized by DFT (PBE)

Principal peaks in the range 2θ = 5–70°, by angle:
hkl	Position (°2θ)	I_rel
0 0 4	27.38	20
1 0 0	27.58	31
0 1 1	28.44	40
0 1 3	34.58	100
1 0 4	39.26	16
1 1 0	48.77	31
1 1 4	56.84	17
0 1 7	57.10	18
2 0 3	61.16	19
1 1 6	65.99	11

Cell lengths 3.7341, 3.7341, 13.0282 Å; angles 90.00, 90.00, 120.00 degrees
Space group P3m1 (No. 156)
Inequivalent atoms, fractional coordinates:
Gd1 0.0000 0.0000 0.0000 [1 per cell]
Gd2 0.0000 0.0000 0.2922 [1 per cell]
Gd3 0.3333 0.6667 0.7888 [1 per cell]
Ho1 0.3333 0.6667 0.4994 [1 per cell]
C1 0.6667 0.3333 0.3972 [1 per cell]
C2 0.6667 0.3333 0.8940 [1 per cell]
S1 0.0000 0.0000 0.6413 [1 per cell]
S2 0.3333 0.6667 0.1453 [1 per cell]

***

Entry 4:
Theoretical powder diffractogram
Compound: GdHoSi2W2C
Radiation: Cu Kα
Structure: a structure optimized by DFT (PBE)

Principal peaks in the range 2θ = 5–70°, by angle:
hkl	Position (°2θ)	I_rel
0 0 1	15.21	32
2 0 1	31.26	50
4 0 -1	33.18	23
3 1 -1	33.67	93
1 1 -2	35.21	100
3 1 0	37.90	20
4 0 -3	40.05	29
0 2 0	47.29	28
2 2 1	57.78	18
1 1 3	59.23	17

Cell lengths 11.097, 3.845, 7.139 Å; angles 90.00, 125.33, 90.00 degrees
Space group Cm (No. 8)
Inequivalent atoms, fractional coordinates:
Gd1 0.000 0.000 0.000 [2 per cell]
Ho1 0.149 0.000 0.593 [2 per cell]
Si1 0.207 0.500 0.959 [2 per cell]
Si2 0.443 0.000 0.635 [2 per cell]
W1 0.283 0.500 0.381 [2 per cell]
W2 0.368 0.000 0.215 [2 per cell]
C1 0.076 0.500 0.300 [2 per cell]